For LaAs12Os4, a cell relaxed with PBE gives the computed powder XRD pattern in this record (Cu Kα (λ = 1.5418 Å)).
No peak broadening, texture or thermal motion is included.

Structure:
Unit cell a=7.496 b=7.496 c=7.496 alpha=109.47 beta=109.47 gamma=109.47
Positions (direct):
La  0.000  0.000  0.000
As  0.149  0.347  0.497
As  0.149  0.653  0.802
As  0.198  0.851  0.347
As  0.347  0.198  0.851
As  0.347  0.497  0.149
As  0.497  0.149  0.347
As  0.503  0.851  0.653
As  0.653  0.503  0.851
As  0.653  0.802  0.149
As  0.802  0.149  0.653
As  0.851  0.347  0.198
As  0.851  0.653  0.503
Os  0.000  0.000  0.500
Os  0.000  0.500  0.000
Os  0.500  0.000  0.000
Os  0.500  0.500  0.500

Top 6 peaks for 2θ from 10° to 80°, by angle:
| d (Å) | intensity |
| --- | --- |
| 4.328 | 564 |
| 3.060 | 1000 |
| 2.737 | 950 |
| 2.313 | 440 |
| 1.935 | 826 |
| 1.767 | 931 |

***

For LaAs2Pd3, a cell relaxed with PBE gives the computed powder XRD pattern in this record (Cu Kα (λ = 1.5418 Å)).
No peak broadening, texture or thermal motion is included.

Structure:
Unit cell a=8.713 b=8.713 c=10.139 alpha=107.69 beta=107.69 gamma=27.89
Positions (direct):
La  0.000  0.000  0.000
La  0.155  0.155  0.701
La  0.845  0.845  0.299
As  0.199  0.199  0.130
As  0.364  0.364  0.548
As  0.462  0.462  0.216
As  0.538  0.538  0.784
As  0.636  0.636  0.452
As  0.801  0.801  0.870
Pd  0.043  0.043  0.333
Pd  0.220  0.220  0.392
Pd  0.320  0.320  0.032
Pd  0.377  0.377  0.800
Pd  0.500  0.500  0.500
Pd  0.623  0.623  0.200
Pd  0.680  0.680  0.968
Pd  0.780  0.780  0.608
Pd  0.957  0.957  0.667

Top 6 peaks for 2θ from 10° to 80°, by angle:
| d (Å) | intensity |
| --- | --- |
| 2.955 | 262 |
| 2.634 | 408 |
| 2.622 | 1000 |
| 2.327 | 312 |
| 2.156 | 329 |
| 2.100 | 661 |

***

For LaAs2Pd2, a cell relaxed with PBE gives the computed powder XRD pattern in this record (Cu Kα (λ = 1.5418 Å)).
No peak broadening, texture or thermal motion is included.

Structure:
Unit cell a=4.367 b=4.367 c=10.482 alpha=90.00 beta=90.00 gamma=90.00
Positions (direct):
La  0.000  0.000  0.000
La  0.500  0.500  0.500
As  0.000  0.000  0.379
As  0.000  0.000  0.621
As  0.500  0.500  0.121
As  0.500  0.500  0.879
Pd  0.000  0.500  0.250
Pd  0.000  0.500  0.750
Pd  0.500  0.000  0.250
Pd  0.500  0.000  0.750

Top 6 peaks for 2θ from 10° to 80°, by angle:
| d (Å) | intensity |
| --- | --- |
| 2.728 | 468 |
| 2.660 | 1000 |
| 2.183 | 561 |
| 1.890 | 186 |
| 1.705 | 228 |
| 1.335 | 227 |

***

> Number 2 is which compound?

LaAs2Pd3